Diffraction record for Er4Zn3Au. The XRD peak list is theoretical, not measured: it uses a cell relaxed with PBE and a wavelength of 1.5418 Å.

Largest 12 diffraction maxima, by intensity, 2θ = 15–90°:
2θ/deg  I/Imax  h k l
32.39  100  1 1 1
39.94  60  0 2 0
34.41  31  1 0 3
38.18  28  0 1 4
64.14  27  1 0 7
53.73  24  1 2 3
52.33  16  0 2 4
49.45  14  2 0 0
25.48  14  0 1 2
78.31  13  1 2 7
65.37  12  2 2 0
67.80  10  1 3 1

Cell and atoms:
Cell: 3.686 4.514 11.056 Å, 90.00 90.00 90.00°
Fractional positions:
Er1 0.000 0.000 0.000
Er2 0.000 0.500 0.294
Er3 0.500 0.000 0.497
Er4 0.500 0.500 0.798
Zn1 0.000 0.000 0.720
Zn2 0.000 0.500 0.575
Zn3 0.500 0.500 0.069
Au1 0.500 0.000 0.224